Entry 1:
For PmTmHg, a cell relaxed with GGA-PBE gives the calculated PXRD pattern in this record (λ = 1.5418 Å (Cu Kα)).

Atomic structure:
Unit cell a=9.7082 b=9.7082 c=5.2079 alpha=90.00 beta=90.00 gamma=158.82
Sites, in units of the cell vectors:
Pm1 0.1294 0.8706 0.7500
Pm2 0.8706 0.1294 0.2500
Tm1 0.4566 0.5434 0.7500
Tm2 0.5434 0.4566 0.2500
Hg1 0.2990 0.7010 0.7500
Hg2 0.7010 0.2990 0.2500

Top 10 peaks for 15° ≤ 2θ ≤ 90°, by angle:
| Position (°2θ) | Rel. int. |
| --- | --- |
| 30.7 | 100.0 |
| 33.0 | 90.2 |
| 34.4 | 75.0 |
| 41.7 | 22.3 |
| 49.5 | 24.1 |
| 55.2 | 19.8 |
| 59.4 | 16.0 |
| 60.8 | 15.8 |
| 62.3 | 29.5 |
| 63.2 | 14.7 |

Entry 2:
For Ho2Ga3Co2, a cell relaxed with GGA-PBE gives the calculated PXRD pattern in this record (λ = 1.5418 Å (Cu Kα)).

Atomic structure:
Unit cell a=5.3032 b=5.3032 c=6.8609 alpha=113.20 beta=113.20 gamma=44.14
Sites, in units of the cell vectors:
Ho1 0.1447 0.1447 0.2745
Ho2 0.8553 0.8553 0.7255
Ga1 0.3602 0.3602 0.0544
Ga2 0.5000 0.5000 0.5000
Ga3 0.6398 0.6398 0.9456
Co1 0.1307 0.1307 0.6984
Co2 0.8693 0.8693 0.3016

Top 10 peaks for 15° ≤ 2θ ≤ 90°, by angle:
| Position (°2θ) | Rel. int. |
| --- | --- |
| 30.6 | 77.1 |
| 34.6 | 91.6 |
| 35.5 | 82.8 |
| 37.8 | 65.4 |
| 38.5 | 44.9 |
| 39.1 | 100.0 |
| 39.4 | 55.0 |
| 40.6 | 52.0 |
| 41.4 | 89.8 |
| 45.5 | 74.7 |

Entry 3:
For Tb2Hg5Bi, a cell relaxed with GGA-PBE gives the calculated PXRD pattern in this record (λ = 1.5418 Å (Cu Kα)).

Atomic structure:
Unit cell a=6.7390 b=13.4686 c=4.4666 alpha=90.00 beta=90.00 gamma=90.00
Sites, in units of the cell vectors:
Tb1 0.2304 0.1197 0.0000
Tb2 0.2696 0.6197 0.0000
Tb3 0.7304 0.3803 0.0000
Tb4 0.7696 0.8803 0.0000
Hg1 0.0000 0.5000 0.5000
Hg2 0.0368 0.7453 0.5000
Hg3 0.2176 0.3636 0.0000
Hg4 0.2824 0.8636 0.0000
Hg5 0.4632 0.2453 0.5000
Hg6 0.5000 0.0000 0.5000
Hg7 0.5368 0.7547 0.5000
Hg8 0.7176 0.1364 0.0000
Hg9 0.7824 0.6364 0.0000
Hg10 0.9632 0.2547 0.5000
Bi1 0.0000 0.0000 0.5000
Bi2 0.5000 0.5000 0.5000

Top 10 peaks for 15° ≤ 2θ ≤ 90°, by angle:
| Position (°2θ) | Rel. int. |
| --- | --- |
| 33.3 | 100.0 |
| 34.0 | 5.3 |
| 37.8 | 32.5 |
| 40.4 | 15.6 |
| 54.5 | 10.0 |
| 56.5 | 20.6 |
| 62.4 | 2.7 |
| 65.4 | 21.6 |
| 69.0 | 14.8 |
| 70.0 | 9.6 |

Entry 4:
For Tc3MoAu, a cell relaxed with GGA-PBE gives the calculated PXRD pattern in this record (λ = 1.5418 Å (Cu Kα)).

Atomic structure:
Unit cell a=4.6603 b=4.6603 c=4.6603 alpha=90.00 beta=90.00 gamma=90.00
Sites, in units of the cell vectors:
Tc1 0.0000 0.0000 0.5000
Tc2 0.0000 0.5000 0.0000
Tc3 0.5000 0.0000 0.0000
Mo1 0.0000 0.0000 0.0000
Au1 0.5000 0.5000 0.5000

Top 10 peaks for 15° ≤ 2θ ≤ 90°, by angle:
| Position (°2θ) | Rel. int. |
| --- | --- |
| 27.1 | 54.1 |
| 33.3 | 90.6 |
| 38.6 | 100.0 |
| 47.8 | 23.5 |
| 55.8 | 67.7 |
| 63.1 | 10.4 |
| 66.5 | 36.4 |
| 69.9 | 22.8 |
| 76.5 | 12.3 |
| 82.9 | 10.9 |

Entry 5:
For Sr4Cd5Pd2, a cell relaxed with GGA-PBE gives the calculated PXRD pattern in this record (λ = 1.5418 Å (Cu Kα)).

Atomic structure:
Unit cell a=7.8164 b=4.1038 c=10.1108 alpha=90.00 beta=94.04 gamma=90.00
Sites, in units of the cell vectors:
Sr1 0.1723 0.0000 0.3598
Sr2 0.2344 0.0000 0.9448
Sr3 0.7656 0.0000 0.0552
Sr4 0.8277 0.0000 0.6402
Cd1 0.1911 0.5000 0.6628
Cd2 0.4407 0.5000 0.1897
Cd3 0.5000 0.5000 0.5000
Cd4 0.5593 0.5000 0.8103
Cd5 0.8089 0.5000 0.3372
Pd1 0.0672 0.5000 0.1400
Pd2 0.9328 0.5000 0.8600

Top 10 peaks for 15° ≤ 2θ ≤ 90°, by angle:
| Position (°2θ) | Rel. int. |
| --- | --- |
| 21.7 | 62.0 |
| 29.8 | 89.0 |
| 30.8 | 100.0 |
| 31.7 | 65.3 |
| 34.5 | 82.8 |
| 35.0 | 52.4 |
| 35.6 | 54.1 |
| 36.5 | 65.2 |
| 36.7 | 54.5 |
| 44.1 | 60.8 |

Entry 6:
For CoIrCl6, a cell relaxed with GGA-PBE gives the calculated PXRD pattern in this record (λ = 1.5418 Å (Cu Kα)).

Atomic structure:
Unit cell a=6.7779 b=6.7779 c=5.9872 alpha=97.72 beta=97.72 gamma=127.68
Sites, in units of the cell vectors:
Co1 0.0000 0.0000 0.0000
Ir1 0.5000 0.5000 0.5000
Cl1 0.1252 0.3848 0.2514
Cl2 0.2534 0.2534 0.7366
Cl3 0.3848 0.1252 0.2514
Cl4 0.6152 0.8748 0.7486
Cl5 0.7466 0.7466 0.2634
Cl6 0.8748 0.6152 0.7486

Top 10 peaks for 15° ≤ 2θ ≤ 90°, by angle:
| Position (°2θ) | Rel. int. |
| --- | --- |
| 17.2 | 28.8 |
| 19.8 | 100.0 |
| 26.3 | 31.7 |
| 33.7 | 63.0 |
| 34.8 | 22.0 |
| 37.2 | 27.1 |
| 40.2 | 23.7 |
| 43.5 | 33.5 |
| 45.3 | 23.3 |
| 51.1 | 35.7 |

Entry 7:
For YH2Br4, a cell relaxed with GGA-PBE gives the calculated PXRD pattern in this record (λ = 1.5418 Å (Cu Kα)).

Atomic structure:
Unit cell a=7.8706 b=7.8706 c=5.9771 alpha=90.00 beta=90.00 gamma=151.45
Sites, in units of the cell vectors:
Y1 0.0000 0.0000 0.0000
H1 0.3932 0.6068 0.5000
H2 0.6068 0.3932 0.5000
Br1 0.1097 0.8903 0.5000
Br2 0.3708 0.6292 0.0000
Br3 0.6292 0.3708 0.0000
Br4 0.8903 0.1097 0.5000

Top 10 peaks for 15° ≤ 2θ ≤ 90°, by angle:
| Position (°2θ) | Rel. int. |
| --- | --- |
| 23.3 | 36.6 |
| 28.0 | 37.6 |
| 29.9 | 66.2 |
| 32.7 | 100.0 |
| 38.3 | 19.4 |
| 38.5 | 23.7 |
| 40.5 | 75.5 |
| 54.9 | 22.1 |
| 56.5 | 20.7 |
| 60.4 | 22.8 |

Entry 8:
For In4Hg2Cl5, a cell relaxed with GGA-PBE gives the calculated PXRD pattern in this record (λ = 1.5418 Å (Cu Kα)).

Atomic structure:
Unit cell a=11.1789 b=11.1789 c=9.5855 alpha=101.86 beta=101.86 gamma=22.00
Sites, in units of the cell vectors:
In1 0.0105 0.0105 0.2919
In2 0.3335 0.3335 0.0033
In3 0.6665 0.6665 0.9967
In4 0.9895 0.9895 0.7081
Hg1 0.4438 0.4438 0.8804
Hg2 0.5562 0.5562 0.1196
Cl1 0.1105 0.1105 0.7870
Cl2 0.2448 0.2448 0.1496
Cl3 0.5000 0.5000 0.5000
Cl4 0.7552 0.7552 0.8504
Cl5 0.8895 0.8895 0.2130

Top 10 peaks for 15° ≤ 2θ ≤ 90°, by angle:
| Position (°2θ) | Rel. int. |
| --- | --- |
| 20.7 | 44.1 |
| 22.2 | 40.0 |
| 22.9 | 76.0 |
| 28.0 | 85.2 |
| 29.3 | 39.8 |
| 32.8 | 63.6 |
| 37.9 | 41.1 |
| 39.9 | 64.2 |
| 42.4 | 54.2 |
| 43.5 | 100.0 |